[1]
Diffraction record for CsU3Tl2S8. The X-ray diffraction stick pattern is calculated, not measured: it uses a cell relaxed with GGA-PBE and Cu Kα X-rays.

Largest 10 diffraction maxima, by angle, 5° ≤ 2θ ≤ 70°:
8.253 Å, 10.7°, I = 439; 4.650 Å, 19.1°, I = 452; 4.055 Å, 21.9°, I = 673; 3.649 Å, 24.4°, I = 1000; 3.488 Å, 25.5°, I = 494; 3.389 Å, 26.3°, I = 397; 3.062 Å, 29.2°, I = 478; 2.496 Å, 36.0°, I = 541; 2.325 Å, 38.7°, I = 436; 2.034 Å, 44.5°, I = 532

```
data_CsU3Tl2S8
_chemical_formula_sum 'Cs1 U3 Tl2 S8'
_symmetry_space_group_name_H-M 'P 1'
_symmetry_Int_Tables_number 1
_symmetry_space_group_name_Hall 'P 1'
_cell_length_a 9.4962
_cell_length_b 9.4962
_cell_length_c 9.4962
_cell_angle_alpha 50.73
_cell_angle_beta 50.73
_cell_angle_gamma 50.73
loop_
_atom_site_label
_atom_site_type_symbol
_atom_site_fract_x
_atom_site_fract_y
_atom_site_fract_z
Cs1 Cs 0.0000 0.0000 0.0000
U1 U 0.3579 0.3579 0.8551
U2 U 0.3579 0.8551 0.3579
U3 U 0.8551 0.3579 0.3579
Tl1 Tl 0.3330 0.3330 0.3330
Tl2 Tl 0.7413 0.7413 0.7413
S1 S 0.0966 0.0966 0.5491
S2 S 0.0966 0.5491 0.0966
S3 S 0.1353 0.1353 0.1353
S4 S 0.1639 0.6173 0.6173
S5 S 0.5491 0.0966 0.0966
S6 S 0.5806 0.5806 0.5806
S7 S 0.6173 0.1639 0.6173
S8 S 0.6173 0.6173 0.1639
```

=====

[2]
Diffraction record for Cs2U3TlS8. The X-ray diffraction stick pattern is calculated, not measured: it uses a cell relaxed with GGA-PBE and Cu Kα X-rays.

Largest 10 diffraction maxima, by angle, 5° ≤ 2θ ≤ 70°:
8.433 Å, 10.5°, I = 777; 4.712 Å, 18.8°, I = 522; 4.113 Å, 21.6°, I = 644; 3.671 Å, 24.2°, I = 1000; 3.498 Å, 25.5°, I = 716; 3.402 Å, 26.2°, I = 398; 3.084 Å, 29.0°, I = 487; 2.526 Å, 35.5°, I = 538; 2.358 Å, 38.2°, I = 954; 2.039 Å, 44.4°, I = 603

```
data_Cs2U3TlS8
_chemical_formula_sum 'Cs2 U3 Tl1 S8'
_symmetry_space_group_name_H-M 'P 1'
_symmetry_Int_Tables_number 1
_symmetry_space_group_name_Hall 'P 1'
_cell_length_a 9.6589
_cell_length_b 9.6589
_cell_length_c 9.6589
_cell_angle_alpha 49.95
_cell_angle_beta 49.95
_cell_angle_gamma 49.95
loop_
_atom_site_label
_atom_site_type_symbol
_atom_site_fract_x
_atom_site_fract_y
_atom_site_fract_z
Cs1 Cs 0.0000 0.0000 0.0000
Cs2 Cs 0.3604 0.3604 0.3604
U1 U 0.4984 0.9993 0.9993
U2 U 0.9993 0.4984 0.9993
U3 U 0.9993 0.9993 0.4984
Tl1 Tl 0.6110 0.6110 0.6110
S1 S 0.1931 0.7366 0.7366
S2 S 0.2218 0.2218 0.2218
S3 S 0.2610 0.2610 0.8109
S4 S 0.2610 0.8109 0.2610
S5 S 0.7366 0.1931 0.7366
S6 S 0.7366 0.7366 0.1931
S7 S 0.7773 0.7773 0.7773
S8 S 0.8109 0.2610 0.2610
```

=====

[3]
Diffraction record for CsTlVS3. The X-ray diffraction stick pattern is calculated, not measured: it uses a cell relaxed with GGA-PBE and Cu Kα X-rays.

Largest 10 diffraction maxima, by angle, 5° ≤ 2θ ≤ 70°:
5.009 Å, 17.7°, I = 473; 3.645 Å, 24.4°, I = 585; 3.525 Å, 25.3°, I = 993; 3.507 Å, 25.4°, I = 1000; 3.365 Å, 26.5°, I = 452; 2.774 Å, 32.3°, I = 448; 2.485 Å, 36.1°, I = 367; 2.460 Å, 36.5°, I = 357; 2.084 Å, 43.4°, I = 238; 2.073 Å, 43.7°, I = 240

```
data_CsTlVS3
_chemical_formula_sum 'Cs2 Tl2 V2 S6'
_symmetry_space_group_name_H-M 'P 1'
_symmetry_Int_Tables_number 1
_symmetry_space_group_name_Hall 'P 1'
_cell_length_a 8.3391
_cell_length_b 8.3391
_cell_length_c 6.7307
_cell_angle_alpha 90.26
_cell_angle_beta 90.26
_cell_angle_gamma 128.16
loop_
_atom_site_label
_atom_site_type_symbol
_atom_site_fract_x
_atom_site_fract_y
_atom_site_fract_z
Cs1 Cs 0.2302 0.7698 0.7500
Cs2 Cs 0.7698 0.2302 0.2500
Tl1 Tl 0.4113 0.5887 0.2500
Tl2 Tl 0.5887 0.4113 0.7500
V1 V 0.0496 0.9504 0.2500
V2 V 0.9504 0.0496 0.7500
S1 S 0.1936 0.8064 0.2500
S2 S 0.2050 0.2077 0.5004
S3 S 0.2077 0.2050 0.0004
S4 S 0.7923 0.7950 0.9996
S5 S 0.7950 0.7923 0.4996
S6 S 0.8064 0.1936 0.7500
```

=====

[4]
Diffraction record for CsTm5S8. The X-ray diffraction stick pattern is calculated, not measured: it uses a cell relaxed with GGA-PBE and Cu Kα X-rays.

Largest 10 diffraction maxima, by angle, 5° ≤ 2θ ≤ 70°:
9.409 Å, 9.4°, I = 757; 4.858 Å, 18.3°, I = 809; 4.704 Å, 18.9°, I = 573; 3.870 Å, 23.0°, I = 837; 3.371 Å, 26.4°, I = 793; 3.314 Å, 26.9°, I = 856; 3.061 Å, 29.2°, I = 587; 2.463 Å, 36.5°, I = 1000; 2.160 Å, 41.8°, I = 555; 1.946 Å, 46.7°, I = 902

```
data_CsTm5S8
_chemical_formula_sum 'Cs1 Tm5 S8'
_symmetry_space_group_name_H-M 'P 1'
_symmetry_Int_Tables_number 1
_symmetry_space_group_name_Hall 'P 1'
_cell_length_a 10.2625
_cell_length_b 10.2625
_cell_length_c 9.7235
_cell_angle_alpha 104.33
_cell_angle_beta 104.33
_cell_angle_gamma 22.16
loop_
_atom_site_label
_atom_site_type_symbol
_atom_site_fract_x
_atom_site_fract_y
_atom_site_fract_z
Cs1 Cs 0.0000 0.0000 0.0000
Tm1 Tm 0.1567 0.1567 0.4537
Tm2 Tm 0.2035 0.2035 0.8395
Tm3 Tm 0.5000 0.5000 0.5000
Tm4 Tm 0.7965 0.7965 0.1605
Tm5 Tm 0.8433 0.8433 0.5463
S1 S 0.0791 0.0791 0.6442
S2 S 0.2698 0.2698 0.3529
S3 S 0.3296 0.3296 0.0112
S4 S 0.4176 0.4176 0.6826
S5 S 0.5824 0.5824 0.3174
S6 S 0.6704 0.6704 0.9888
S7 S 0.7302 0.7302 0.6471
S8 S 0.9209 0.9209 0.3558
```

=====

[5]
Diffraction record for Cs3Tm3US8. The X-ray diffraction stick pattern is calculated, not measured: it uses a cell relaxed with GGA-PBE and Cu Kα X-rays.

Largest 10 diffraction maxima, by angle, 5° ≤ 2θ ≤ 70°:
8.194 Å, 10.8°, I = 408; 6.692 Å, 13.2°, I = 129; 4.097 Å, 21.7°, I = 356; 3.346 Å, 26.6°, I = 526; 3.026 Å, 29.5°, I = 1000; 2.303 Å, 39.1°, I = 379; 2.007 Å, 45.2°, I = 541; 1.803 Å, 50.6°, I = 235; 1.673 Å, 54.9°, I = 171; 1.434 Å, 65.0°, I = 132

```
data_Cs3Tm3US8
_chemical_formula_sum 'Cs3 Tm3 U1 S8'
_symmetry_space_group_name_H-M 'P 1'
_symmetry_Int_Tables_number 1
_symmetry_space_group_name_Hall 'P 1'
_cell_length_a 9.4148
_cell_length_b 9.4148
_cell_length_c 9.4148
_cell_angle_alpha 50.49
_cell_angle_beta 50.49
_cell_angle_gamma 50.49
loop_
_atom_site_label
_atom_site_type_symbol
_atom_site_fract_x
_atom_site_fract_y
_atom_site_fract_z
Cs1 Cs 0.0000 0.5000 0.5000
Cs2 Cs 0.5000 0.0000 0.5000
Cs3 Cs 0.5000 0.5000 0.0000
Tm1 Tm 0.0000 0.0000 0.5000
Tm2 Tm 0.0000 0.5000 0.0000
Tm3 Tm 0.5000 0.0000 0.0000
U1 U 0.5000 0.5000 0.5000
S1 S 0.2257 0.2257 0.2257
S2 S 0.2269 0.7246 0.7246
S3 S 0.2754 0.2754 0.7731
S4 S 0.2754 0.7731 0.2754
S5 S 0.7246 0.2269 0.7246
S6 S 0.7246 0.7246 0.2269
S7 S 0.7731 0.2754 0.2754
S8 S 0.7743 0.7743 0.7743
```

=====

[6]
Diffraction record for Cs2U2S7. The X-ray diffraction stick pattern is calculated, not measured: it uses a cell relaxed with GGA-PBE and Cu Kα X-rays.

Largest 10 diffraction maxima, by angle, 5° ≤ 2θ ≤ 70°:
8.355 Å, 10.6°, I = 1000; 4.653 Å, 19.1°, I = 627; 4.302 Å, 20.6°, I = 567; 3.844 Å, 23.1°, I = 702; 3.775 Å, 23.6°, I = 497; 3.748 Å, 23.7°, I = 706; 3.728 Å, 23.9°, I = 482; 2.783 Å, 32.2°, I = 954; 2.596 Å, 34.6°, I = 534; 2.155 Å, 41.9°, I = 356

```
data_Cs2U2S7
_chemical_formula_sum 'Cs2 U2 S7'
_symmetry_space_group_name_H-M 'P 1'
_symmetry_Int_Tables_number 1
_symmetry_space_group_name_Hall 'P 1'
_cell_length_a 9.4569
_cell_length_b 9.4569
_cell_length_c 5.2548
_cell_angle_alpha 97.97
_cell_angle_beta 97.97
_cell_angle_gamma 124.14
loop_
_atom_site_label
_atom_site_type_symbol
_atom_site_fract_x
_atom_site_fract_y
_atom_site_fract_z
Cs1 Cs 0.1785 0.8215 0.0000
Cs2 Cs 0.8215 0.1785 0.0000
U1 U 0.3077 0.3077 0.6550
U2 U 0.6923 0.6923 0.3450
S1 S 0.0000 0.0000 0.5000
S2 S 0.1570 0.4423 0.6523
S3 S 0.3694 0.3694 0.1856
S4 S 0.4423 0.1570 0.6523
S5 S 0.5577 0.8430 0.3477
S6 S 0.6306 0.6306 0.8144
S7 S 0.8430 0.5577 0.3477
```

=====

[7]
Diffraction record for Cs3US3. The X-ray diffraction stick pattern is calculated, not measured: it uses a cell relaxed with GGA-PBE and Cu Kα X-rays.

Largest 10 diffraction maxima, by angle, 5° ≤ 2θ ≤ 70°:
7.126 Å, 12.4°, I = 303; 6.602 Å, 13.4°, I = 482; 4.232 Å, 21.0°, I = 365; 4.006 Å, 22.2°, I = 684; 3.725 Å, 23.9°, I = 344; 3.566 Å, 25.0°, I = 1000; 3.065 Å, 29.1°, I = 250; 2.201 Å, 41.0°, I = 230; 2.135 Å, 42.3°, I = 327; 2.047 Å, 44.2°, I = 289

```
data_Cs3US3
_chemical_formula_sum 'Cs6 U2 S6'
_symmetry_space_group_name_H-M 'P 1'
_symmetry_Int_Tables_number 1
_symmetry_space_group_name_Hall 'P 1'
_cell_length_a 8.5427
_cell_length_b 8.5427
_cell_length_c 8.9969
_cell_angle_alpha 99.89
_cell_angle_beta 99.89
_cell_angle_gamma 113.07
loop_
_atom_site_label
_atom_site_type_symbol
_atom_site_fract_x
_atom_site_fract_y
_atom_site_fract_z
Cs1 Cs 0.1788 0.8212 0.0000
Cs2 Cs 0.2877 0.7123 0.5000
Cs3 Cs 0.3843 0.3843 0.1265
Cs4 Cs 0.6157 0.6157 0.8735
Cs5 Cs 0.7123 0.2877 0.5000
Cs6 Cs 0.8212 0.1788 0.0000
U1 U 0.1295 0.1295 0.6190
U2 U 0.8705 0.8705 0.3810
S1 S 0.1357 0.1357 0.3172
S2 S 0.1451 0.4250 0.7722
S3 S 0.4250 0.1451 0.7722
S4 S 0.5750 0.8549 0.2278
S5 S 0.8549 0.5750 0.2278
S6 S 0.8643 0.8643 0.6828
```

=====

[8]
Diffraction record for CsU2S4. The X-ray diffraction stick pattern is calculated, not measured: it uses a cell relaxed with GGA-PBE and Cu Kα X-rays.

Largest 10 diffraction maxima, by angle, 5° ≤ 2θ ≤ 70°:
8.397 Å, 10.5°, I = 1000; 4.198 Å, 21.2°, I = 354; 3.458 Å, 25.8°, I = 157; 3.367 Å, 26.5°, I = 336; 3.319 Å, 26.9°, I = 163; 3.051 Å, 29.3°, I = 619; 3.029 Å, 29.5°, I = 305; 2.341 Å, 38.4°, I = 243; 2.040 Å, 44.4°, I = 218; 1.998 Å, 45.4°, I = 198

```
data_CsU2S4
_chemical_formula_sum 'Cs1 U2 S4'
_symmetry_space_group_name_H-M 'P 1'
_symmetry_Int_Tables_number 1
_symmetry_space_group_name_Hall 'P 1'
_cell_length_a 6.8903
_cell_length_b 4.0510
_cell_length_c 8.7161
_cell_angle_alpha 90.00
_cell_angle_beta 105.56
_cell_angle_gamma 90.00
loop_
_atom_site_label
_atom_site_type_symbol
_atom_site_fract_x
_atom_site_fract_y
_atom_site_fract_z
Cs1 Cs 0.0000 0.0000 0.0000
U1 U 0.0000 0.5000 0.5000
U2 U 0.5000 0.0000 0.5000
S1 S 0.2225 0.0000 0.6720
S2 S 0.2751 0.5000 0.3248
S3 S 0.7249 0.5000 0.6752
S4 S 0.7775 0.0000 0.3280
```

=====

[9]
Diffraction record for Cs5U3S12. The X-ray diffraction stick pattern is calculated, not measured: it uses a cell relaxed with GGA-PBE and Cu Kα X-rays.

Largest 10 diffraction maxima, by angle, 5° ≤ 2θ ≤ 70°:
7.013 Å, 12.6°, I = 757; 4.049 Å, 22.0°, I = 1000; 3.573 Å, 24.9°, I = 996; 3.080 Å, 29.0°, I = 283; 2.679 Å, 33.4°, I = 480; 2.338 Å, 38.5°, I = 244; 2.234 Å, 40.4°, I = 657; 1.848 Å, 49.3°, I = 242; 1.762 Å, 51.9°, I = 220; 1.615 Å, 57.0°, I = 173

```
data_Cs5U3S12
_chemical_formula_sum 'Cs5 U3 S12'
_symmetry_space_group_name_H-M 'P 1'
_symmetry_Int_Tables_number 1
_symmetry_space_group_name_Hall 'P 1'
_cell_length_a 14.0269
_cell_length_b 14.0269
_cell_length_c 4.1529
_cell_angle_alpha 90.00
_cell_angle_beta 90.00
_cell_angle_gamma 120.00
loop_
_atom_site_label
_atom_site_type_symbol
_atom_site_fract_x
_atom_site_fract_y
_atom_site_fract_z
Cs1 Cs 0.0000 0.2814 0.0000
Cs2 Cs 0.2814 0.0000 0.0000
Cs3 Cs 0.3333 0.6667 0.0000
Cs4 Cs 0.6667 0.3333 0.0000
Cs5 Cs 0.7186 0.7186 0.0000
U1 U 0.0000 0.6635 0.5000
U2 U 0.3365 0.3365 0.5000
U3 U 0.6635 0.0000 0.5000
S1 S 0.0000 0.5470 0.0000
S2 S 0.0000 0.7802 0.0000
S3 S 0.2007 0.7690 0.5000
S4 S 0.2198 0.2198 0.0000
S5 S 0.2310 0.4317 0.5000
S6 S 0.4317 0.2310 0.5000
S7 S 0.4530 0.4530 0.0000
S8 S 0.5470 0.0000 0.0000
S9 S 0.5683 0.7993 0.5000
S10 S 0.7690 0.2007 0.5000
S11 S 0.7802 0.0000 0.0000
S12 S 0.7993 0.5683 0.5000
```

=====

[10]
Diffraction record for CsZrUS6. The X-ray diffraction stick pattern is calculated, not measured: it uses a cell relaxed with GGA-PBE and Cu Kα X-rays.

Largest 10 diffraction maxima, by angle, 5° ≤ 2θ ≤ 70°:
7.537 Å, 11.7°, I = 446; 4.062 Å, 21.9°, I = 1000; 4.017 Å, 22.1°, I = 316; 3.937 Å, 22.6°, I = 239; 3.917 Å, 22.7°, I = 276; 3.768 Å, 23.6°, I = 377; 2.512 Å, 35.7°, I = 184; 2.412 Å, 37.3°, I = 144; 2.357 Å, 38.2°, I = 515; 2.031 Å, 44.6°, I = 226

```
data_CsZrUS6
_chemical_formula_sum 'Cs2 Zr2 U2 S12'
_symmetry_space_group_name_H-M 'P 1'
_symmetry_Int_Tables_number 1
_symmetry_space_group_name_Hall 'P 1'
_cell_length_a 9.4382
_cell_length_b 9.4382
_cell_length_c 9.4382
_cell_angle_alpha 122.31
_cell_angle_beta 118.53
_cell_angle_gamma 89.30
loop_
_atom_site_label
_atom_site_type_symbol
_atom_site_fract_x
_atom_site_fract_y
_atom_site_fract_z
Cs1 Cs 0.3608 0.1108 0.2500
Cs2 Cs 0.6392 0.8892 0.7500
Zr1 Zr 0.0000 0.0000 0.5000
Zr2 Zr 0.0000 0.5000 0.0000
U1 U 0.0000 0.5000 0.5000
U2 U 0.5000 0.5000 0.0000
S1 S 0.0777 0.4336 0.2546
S2 S 0.0777 0.8231 0.6441
S3 S 0.0809 0.8309 0.2500
S4 S 0.3187 0.5687 0.7500
S5 S 0.3210 0.1769 0.7546
S6 S 0.3210 0.5664 0.1441
S7 S 0.6790 0.4336 0.8559
S8 S 0.6790 0.8231 0.2454
S9 S 0.6813 0.4313 0.2500
S10 S 0.9191 0.1691 0.7500
S11 S 0.9223 0.1769 0.3559
S12 S 0.9223 0.5664 0.7454
```

=====

[11]
Diffraction record for CsVS2. The X-ray diffraction stick pattern is calculated, not measured: it uses a cell relaxed with GGA-PBE and Cu Kα X-rays.

Largest 10 diffraction maxima, by angle, 5° ≤ 2θ ≤ 70°:
3.770 Å, 23.6°, I = 314; 3.486 Å, 25.6°, I = 279; 3.277 Å, 27.2°, I = 1000; 2.984 Å, 29.9°, I = 512; 2.901 Å, 30.8°, I = 531; 2.872 Å, 31.1°, I = 235; 2.646 Å, 33.9°, I = 585; 2.381 Å, 37.8°, I = 445; 1.770 Å, 51.7°, I = 331; 1.726 Å, 53.0°, I = 249

```
data_CsVS2
_chemical_formula_sum 'Cs4 V4 S8'
_symmetry_space_group_name_H-M 'P 1'
_symmetry_Int_Tables_number 1
_symmetry_space_group_name_Hall 'P 1'
_cell_length_a 7.3175
_cell_length_b 4.7610
_cell_length_c 11.4897
_cell_angle_alpha 90.00
_cell_angle_beta 90.00
_cell_angle_gamma 90.00
loop_
_atom_site_label
_atom_site_type_symbol
_atom_site_fract_x
_atom_site_fract_y
_atom_site_fract_z
Cs1 Cs 0.1035 0.2500 0.1110
Cs2 Cs 0.3965 0.7500 0.6110
Cs3 Cs 0.6035 0.2500 0.3890
Cs4 Cs 0.8965 0.7500 0.8890
V1 V 0.0502 0.7500 0.3714
V2 V 0.4498 0.2500 0.8714
V3 V 0.5502 0.7500 0.1286
V4 V 0.9498 0.2500 0.6286
S1 S 0.0828 0.2500 0.4341
S2 S 0.1742 0.2500 0.7668
S3 S 0.3258 0.7500 0.2668
S4 S 0.4172 0.7500 0.9341
S5 S 0.5828 0.2500 0.0659
S6 S 0.6742 0.2500 0.7332
S7 S 0.8258 0.7500 0.2332
S8 S 0.9172 0.7500 0.5659
```

=====

[12]
Diffraction record for CsVS2. The X-ray diffraction stick pattern is calculated, not measured: it uses a cell relaxed with GGA-PBE and Cu Kα X-rays.

Largest 10 diffraction maxima, by angle, 5° ≤ 2θ ≤ 70°:
4.515 Å, 19.7°, I = 436; 4.313 Å, 20.6°, I = 560; 3.626 Å, 24.6°, I = 752; 3.271 Å, 27.3°, I = 305; 2.958 Å, 30.2°, I = 265; 2.802 Å, 31.9°, I = 308; 2.778 Å, 32.2°, I = 250; 2.749 Å, 32.6°, I = 372; 2.690 Å, 33.3°, I = 1000; 2.420 Å, 37.2°, I = 422

```
data_CsVS2
_chemical_formula_sum 'Cs2 V2 S4'
_symmetry_space_group_name_H-M 'P 1'
_symmetry_Int_Tables_number 1
_symmetry_space_group_name_Hall 'P 1'
_cell_length_a 3.3707
_cell_length_b 7.4490
_cell_length_c 8.9394
_cell_angle_alpha 110.65
_cell_angle_beta 90.01
_cell_angle_gamma 102.94
loop_
_atom_site_label
_atom_site_type_symbol
_atom_site_fract_x
_atom_site_fract_y
_atom_site_fract_z
Cs1 Cs 0.0863 0.1671 0.3070
Cs2 Cs 0.9137 0.8329 0.6930
V1 V 0.2000 0.3990 0.8725
V2 V 0.8000 0.6010 0.1275
S1 S 0.3322 0.6661 0.3290
S2 S 0.3660 0.7344 0.0042
S3 S 0.6340 0.2656 0.9958
S4 S 0.6678 0.3339 0.6710
```